For Bi3As4O16, the PBE geometry in the Materials Project gives the theoretical X-ray powder pattern in this record (Cu Kα X-rays).
Intensities are scaled so that the largest is 100.

```
data_Bi3As4O16
_symmetry_space_group_name_H-M 'P 1 21/c 1'
_symmetry_Int_Tables_number 14
_cell_length_a 9.1083
_cell_length_b 5.6002
_cell_length_c 16.5820
_cell_angle_alpha 90.00
_cell_angle_beta 108.13
_cell_angle_gamma 90.00
loop_
_symmetry_equiv_pos_as_xyz
'x,y,z'
'-x,-y,-z'
'-x,y+1/2,-z+1/2'
'x,-y+1/2,z+1/2'
loop_
_atom_site_label
_atom_site_fract_x
_atom_site_fract_y
_atom_site_fract_z
Bi1 0.0000 0.0000 0.0000
Bi2 0.3162 0.0368 0.6238
As1 0.0664 0.0480 0.3900
As2 0.4510 0.0272 0.8583
O1 0.0177 0.7459 0.8958
O2 0.1053 0.7020 0.1041
O3 0.1252 0.1329 0.3093
O4 0.1855 0.1758 0.4872
O5 0.3312 0.5260 0.2554
O6 0.3634 0.0752 0.1383
O7 0.3778 0.6219 0.4239
O8 0.4806 0.1659 0.3781
```

Main lines, low angle first (2θ from 5° to 70°):
2θ/deg, intensity, hkl
12.62, 100, 1 0 -2
20.59, 32, 1 1 1
23.21, 31, 0 1 3
25.22, 86, 2 1 -1
27.52, 32, 1 1 3
34.44, 46, 3 1 -3

For BiAsO4, the PBE geometry in the Materials Project gives the theoretical X-ray powder pattern in this record (Cu Kα X-rays).
Intensities are scaled so that the largest is 100.

```
data_BiAsO4
_symmetry_space_group_name_H-M 'P 1 21/c 1'
_symmetry_Int_Tables_number 14
_cell_length_a 6.8359
_cell_length_b 7.2886
_cell_length_c 8.3899
_cell_angle_alpha 90.00
_cell_angle_beta 126.50
_cell_angle_gamma 90.00
loop_
_symmetry_equiv_pos_as_xyz
'x,y,z'
'-x,-y,-z'
'-x,y+1/2,-z+1/2'
'x,-y+1/2,z+1/2'
loop_
_atom_site_label
_atom_site_fract_x
_atom_site_fract_y
_atom_site_fract_z
Bi1 0.2011 0.1330 0.2814
As1 0.3118 0.6625 0.2017
O1 0.1302 0.6438 0.6096
O2 0.1596 0.5015 0.2372
O3 0.3623 0.6015 0.0268
O4 0.3878 0.2071 0.1085
```

Main lines, low angle first (2θ from 5° to 70°):
2θ/deg, intensity, hkl
18.14, 32, 1 1 -1
26.43, 50, 0 0 2
27.83, 100, 0 2 1
29.74, 46, 2 1 -2
32.59, 27, 2 0 0
49.41, 23, 2 2 1

For Bi3As2O10, the PBE geometry in the Materials Project gives the theoretical X-ray powder pattern in this record (Cu Kα X-rays).
Intensities are scaled so that the largest is 100.

```
data_Bi3As2O10
_symmetry_space_group_name_H-M 'P -1'
_symmetry_Int_Tables_number 2
_cell_length_a 7.0529
_cell_length_b 7.3689
_cell_length_c 9.5578
_cell_angle_alpha 110.37
_cell_angle_beta 106.79
_cell_angle_gamma 91.91
loop_
_symmetry_equiv_pos_as_xyz
'x,y,z'
'-x,-y,-z'
loop_
_atom_site_label
_atom_site_fract_x
_atom_site_fract_y
_atom_site_fract_z
Bi1 0.2058 0.3340 0.4244
Bi2 0.2278 0.0900 0.9778
Bi3 0.2679 0.7425 0.1998
As1 0.2273 0.4793 0.8031
As2 0.3070 0.8735 0.5955
O1 0.0441 0.4667 0.6313
O2 0.1022 0.9700 0.1282
O3 0.1151 0.8716 0.6714
O4 0.1223 0.3443 0.8852
O5 0.2000 0.3338 0.1862
O6 0.2621 0.9626 0.4459
O7 0.3157 0.7081 0.9503
O8 0.3898 0.6507 0.5237
O9 0.4108 0.3845 0.7279
O10 0.4990 0.0163 0.7645
```

Main lines, low angle first (2θ from 5° to 70°):
2θ/deg, intensity, hkl
26.70, 100, 2 0 0
27.42, 90, 1 -2 1
27.64, 40, -1 1 2
27.93, 86, 1 2 -1
28.60, 91, 0 1 2
29.31, 47, 0 1 -3

For Bi12AsO20, the PBE geometry in the Materials Project gives the theoretical X-ray powder pattern in this record (Cu Kα X-rays).
Intensities are scaled so that the largest is 100.

```
data_Bi12AsO20
_symmetry_space_group_name_H-M 'I 2 3'
_symmetry_Int_Tables_number 197
_symmetry_space_group_name_Hall 'I 2 2 3'
_cell_length_a 10.3805
_cell_length_b 10.3805
_cell_length_c 10.3805
_cell_angle_alpha 90.00
_cell_angle_beta 90.00
_cell_angle_gamma 90.00
loop_
_atom_site_label
_atom_site_fract_x
_atom_site_fract_y
_atom_site_fract_z
Bi1 0.0217 0.1764 0.3241
As1 0.0000 0.0000 0.0000
O1 0.0080 0.3679 0.7483
O2 0.0966 0.0966 0.9034
O3 0.1972 0.1972 0.1972
```

Main lines, low angle first (2θ from 5° to 70°):
2θ/deg, intensity, hkl
27.17, 100, 3 1 0
29.82, 21, 2 2 2
32.27, 63, 3 2 1
51.32, 28, 5 0 3
54.49, 24, 5 3 2
60.49, 22, 6 3 1

For BiAsO2, the PBE geometry in the Materials Project gives the theoretical X-ray powder pattern in this record (Cu Kα X-rays).
Intensities are scaled so that the largest is 100.

```
data_BiAsO2
_symmetry_space_group_name_H-M 'I 41/a m d'
_symmetry_Int_Tables_number 141
_cell_length_a 6.6021
_cell_length_b 6.6021
_cell_length_c 12.0454
_cell_angle_alpha 90.00
_cell_angle_beta 90.00
_cell_angle_gamma 90.00
loop_
_symmetry_equiv_pos_as_xyz
'x,y,z'
'-x,-y,-z'
'-y+1/4,x+3/4,z+1/4'
'y+1/4,-x+3/4,-z+1/4'
'-x+1/2,-y,z+1/2'
'x+1/2,y,-z+1/2'
'y+1/4,-x+1/4,z+3/4'
'-y+1/4,x+1/4,-z+3/4'
'x,-y,-z'
'-x,y,z'
'-y+1/4,-x+1/4,-z+3/4'
'y+1/4,x+1/4,z+3/4'
'-x+1/2,y,-z+1/2'
'x+1/2,-y,z+1/2'
'y+1/4,x+3/4,-z+1/4'
'-y+1/4,-x+3/4,z+1/4'
'x+1/2,y+1/2,z+1/2'
'-x+1/2,-y+1/2,-z+1/2'
'-y+3/4,x+1/4,z+3/4'
'y+3/4,-x+1/4,-z+3/4'
'-x,-y+1/2,z'
'x,y+1/2,-z'
'y+3/4,-x+3/4,z+1/4'
'-y+3/4,x+3/4,-z+1/4'
'x+1/2,-y+1/2,-z+1/2'
'-x+1/2,y+1/2,z+1/2'
'-y+3/4,-x+3/4,-z+1/4'
'y+3/4,x+3/4,z+1/4'
'-x,y+1/2,-z'
'x,-y+1/2,z'
'y+3/4,x+1/4,-z+3/4'
'-y+3/4,-x+1/4,z+3/4'
loop_
_atom_site_label
_atom_site_fract_x
_atom_site_fract_y
_atom_site_fract_z
Bi1 0.0000 0.0000 0.0000
As1 0.0000 0.0000 0.5000
O1 0.0000 0.0224 0.2030
```

Main lines, low angle first (2θ from 5° to 70°):
2θ/deg, intensity, hkl
15.30, 34, 1 0 1
29.67, 37, 0 0 4
30.89, 100, 2 0 2
38.57, 42, 2 2 0
49.40, 37, 2 2 4
53.42, 28, 2 0 6

For UBi4As2O16, the PBE geometry in the Materials Project gives the theoretical X-ray powder pattern in this record (Cu Kα X-rays).
Intensities are scaled so that the largest is 100.

```
data_UBi4As2O16
_symmetry_space_group_name_H-M 'P -1'
_symmetry_Int_Tables_number 2
_cell_length_a 5.5980
_cell_length_b 6.7049
_cell_length_c 10.9774
_cell_angle_alpha 75.49
_cell_angle_beta 78.84
_cell_angle_gamma 71.97
loop_
_symmetry_equiv_pos_as_xyz
'x,y,z'
'-x,-y,-z'
loop_
_atom_site_label
_atom_site_fract_x
_atom_site_fract_y
_atom_site_fract_z
U1 0.0000 0.0000 0.0000
Bi1 0.0027 0.4055 0.6759
Bi2 0.4131 0.7712 0.5420
As1 0.3717 0.0695 0.2260
O1 0.1605 0.7306 0.0856
O2 0.1734 0.1432 0.1133
O3 0.1792 0.6506 0.6912
O4 0.2590 0.5003 0.4824
O5 0.2761 0.0959 0.5660
O6 0.2844 0.8698 0.3459
O7 0.3226 0.0330 0.8397
O8 0.3559 0.2880 0.2879
```

Main lines, low angle first (2θ from 5° to 70°):
2θ/deg, intensity, hkl
8.39, 100, 0 0 1
19.72, 39, 1 0 -1
26.06, 69, -1 1 1
28.55, 57, 1 1 -2
28.69, 63, 1 0 3
29.25, 43, 1 2 2